Li3CrPCO7: simulated powder XRD pattern (Cu Kα X-rays), based on a cell relaxed with PBE+U.
Lines closer than 0.1° are merged.

Cell and atoms:
```
Li3CrPCO7
1.0
6.4529 0.0000 0.0000
-0.0316 8.6838 0.0000
-0.0175 -0.8065 9.9433
Li Cr P C O
12 4 4 4 28
Cartesian
0.0000 0.0000 0.0000 Li
-0.0173 3.3687 7.1101 Li
1.3744 6.5709 7.3887 Li
1.4101 7.0136 2.4779 Li
1.6676 2.5033 9.7561 Li
1.6930 2.8831 5.0015 Li
3.1379 1.3057 7.2098 Li
3.1843 1.6357 2.3815 Li
4.6980 2.8815 5.0215 Li
4.9597 7.0168 2.4699 Li
4.9888 6.5516 7.3811 Li
6.4359 -0.3844 5.0370 Li
-0.0087 3.6381 2.3518 Cr
3.1759 6.6582 0.1233 Cr
3.1829 6.2716 5.1238 Cr
4.8345 2.3958 9.6637 Cr
3.1799 3.8539 7.5240 P
3.1954 4.2800 2.5793 P
6.3861 5.2216 9.6905 P
6.4123 5.6087 4.7466 P
3.2072 0.2442 4.6945 C
3.2215 -0.1664 9.6490 C
6.4066 0.5838 7.6384 C
6.4281 0.9485 2.6458 C
-0.0109 1.8873 3.5581 O
1.1604 6.7981 0.3542 O
1.1617 6.4356 5.3129 O
1.9591 3.0616 7.0066 O
1.9952 3.4629 1.9978 O
3.1223 7.5631 8.7779 O
3.1736 3.8139 9.1083 O
3.2043 -0.0925 5.9362 O
3.1820 5.3499 7.0986 O
3.2043 1.4935 4.3325 O
3.1947 4.2199 4.1223 O
3.1806 7.9782 3.7843 O
3.2023 5.7506 2.1047 O
3.2340 0.3863 0.9562 O
3.2877 1.0863 9.2104 O
4.4190 3.4686 2.0172 O
4.4262 3.0678 7.0410 O
5.1997 6.8420 0.3136 O
5.2065 6.4338 5.3062 O
6.3798 4.5405 0.2436 O
6.4085 1.2863 1.4030 O
6.3802 7.9968 7.9589 O
6.4114 1.4673 8.6215 O
6.4217 0.9695 6.4231 O
6.4124 4.1376 5.1734 O
6.4062 8.3862 3.0175 O
6.4084 5.2328 8.1557 O
6.4188 5.6938 3.1883 O
```

Peak list (12 most intense, 10° ≤ 2θ ≤ 90°, in order of falling intensity)
d (Å), Rel. int.
3.226, 100.0
8.655, 97.5
3.504, 44.9
2.442, 38.3
2.585, 33.4
4.168, 31.0
3.403, 29.1
2.485, 27.2
4.470, 26.3
2.885, 22.6
1.613, 22.3
2.592, 19.4

Li6VCrP2C2O14: simulated powder XRD pattern (Cu Kα X-rays), based on a cell relaxed with PBE+U.
Lines closer than 0.1° are merged.

Cell and atoms:
```
Li6VCrP2C2O14
1.0
4.9968 0.0000 0.0000
0.0000 6.5316 0.0000
-0.6912 0.0000 8.5363
Li V Cr P C O
6 1 1 2 2 14
Cartesian
0.0000 0.0000 0.0000 Li
-0.3996 1.8250 5.4118 Li
-0.3996 4.7066 5.4118 Li
2.4387 1.4734 1.5729 Li
2.4387 5.0582 1.5729 Li
2.0344 3.2658 6.9530 Li
2.3658 0.0000 4.9462 V
4.7107 3.2658 2.0915 Cr
-0.0043 0.0000 2.7481 P
2.0516 3.2658 4.2649 P
-0.3760 3.2658 8.0269 C
1.7040 0.0000 7.4589 C
0.0482 3.2658 6.7983 O
0.4957 3.2658 4.1679 O
1.1871 3.2658 0.4673 O
0.8145 0.0000 6.5092 O
1.5479 0.0000 2.8862 O
2.0187 0.0000 0.1707 O
2.6304 3.2658 2.8225 O
2.5392 2.0646 5.1175 O
2.5392 4.4670 5.1175 O
2.9554 0.0000 7.1213 O
3.3640 3.2658 8.3119 O
4.5271 1.2179 1.8815 O
4.5271 5.3137 1.8815 O
4.3724 0.0000 4.1582 O
```

Peak list (12 most intense, 10° ≤ 2θ ≤ 90°, in order of falling intensity)
d (Å), Rel. int.
3.266, 100.0
8.536, 76.0
4.158, 43.6
4.461, 33.9
3.378, 31.4
3.508, 26.6
2.444, 26.1
2.110, 22.5
2.244, 19.7
1.786, 19.4
2.490, 18.1
1.633, 16.1

Li9Cr4C8S2O32: simulated powder XRD pattern (Cu Kα X-rays), based on a cell relaxed with PBE+U.
Lines closer than 0.1° are merged.

Cell and atoms:
```
Li9Cr4C8S2O32
1.0
6.5396 -6.8947 0.0000
6.5396 6.8947 0.0000
-6.5174 0.0000 6.6069
Li Cr C S O
9 4 8 2 32
Cartesian
0.0000 0.0000 0.0000 Li
0.6188 -0.5785 3.3778 Li
3.4043 -0.5902 0.6106 Li
-2.7128 -3.9306 6.5741 Li
-0.0048 -3.9419 3.8407 Li
3.1576 -0.5902 5.9963 Li
5.9431 -0.5785 3.2291 Li
6.5668 -3.9419 2.7662 Li
9.2747 -3.9306 0.0328 Li
1.6619 4.6516 4.9384 Cr
-1.6165 1.2108 4.9631 Cr
4.9000 4.6516 1.6685 Cr
8.1785 1.2108 1.6438 Cr
-1.2675 4.1771 5.3264 C
-1.9433 -1.7590 4.5838 C
5.2691 1.7028 1.2481 C
1.2928 1.7028 5.3588 C
7.8295 4.1771 1.2805 C
8.5053 -1.7590 2.0231 C
2.0060 -6.1717 4.5711 C
4.5559 -6.1717 2.0358 C
3.2810 -0.5333 3.3034 S
6.5396 -4.0753 0.0000 S
-2.0454 3.1463 5.3509 O
1.8217 4.2308 2.9328 O
-1.1101 -0.2276 1.8629 O
-3.5597 0.8324 5.4255 O
4.4571 2.6876 1.3283 O
0.3275 1.5771 4.4878 O
1.3956 -1.8116 0.3479 O
-1.1911 -0.7028 4.5450 O
4.7402 4.2308 3.6741 O
-2.8290 -1.9177 5.5183 O
2.3797 0.2710 2.4274 O
5.1385 0.8028 0.3227 O
2.1048 2.6876 5.2786 O
0.4096 -2.5635 2.2119 O
6.2344 1.5771 2.1191 O
1.4234 0.8028 6.2842 O
8.6073 3.1463 1.2560 O
4.1553 -1.3482 2.3978 O
2.4066 -1.3482 4.2091 O
4.1822 0.2710 4.1795 O
-0.8642 -4.9444 5.7607 O
0.8813 -3.2624 5.7042 O
5.6807 -3.2624 0.9027 O
7.7530 -0.7028 2.0619 O
10.1216 0.8324 1.1814 O
1.8979 -5.3255 3.6127 O
9.3909 -1.9177 1.0886 O
7.6720 -0.2276 4.7440 O
4.6640 -5.3255 2.9942 O
6.1523 -2.5634 4.3950 O
7.4261 -4.9444 0.8462 O
5.1663 -1.8116 6.2590 O
```

Peak list (12 most intense, 10° ≤ 2θ ≤ 90°, in order of falling intensity)
d (Å), Rel. int.
7.709, 100.0
4.120, 78.9
3.966, 74.4
3.996, 68.0
2.644, 33.8
3.270, 31.2
2.523, 28.8
2.241, 28.6
4.770, 27.5
2.546, 26.2
4.745, 25.3
3.303, 24.9

Li2CrCSO7: simulated powder XRD pattern (Cu Kα X-rays), based on a cell relaxed with PBE+U.
Lines closer than 0.1° are merged.

Cell and atoms:
```
Li2CrCSO7
1.0
5.1303 0.0000 0.0000
0.0000 6.4457 0.0000
-0.3823 0.0000 8.9805
Li Cr C S O
4 2 2 2 14
Cartesian
0.9902 0.1636 2.8679 Li
0.9902 3.0592 2.8679 Li
3.7577 3.3865 6.1126 Li
3.7577 6.2821 6.1126 Li
0.8899 4.8343 7.7282 Cr
3.8581 1.6114 1.2523 Cr
1.2084 4.8343 5.0474 C
3.5395 1.6114 3.9331 C
1.1512 1.6114 8.2965 S
3.5967 4.8343 0.6840 S
0.1000 4.8343 5.7832 O
0.6464 0.4289 7.5532 O
0.6464 2.7939 7.5532 O
1.0678 1.6114 0.7286 O
1.1269 4.8343 3.7698 O
2.0928 4.8343 0.6795 O
2.4152 1.6114 3.2886 O
2.3327 4.8343 5.6919 O
2.6551 1.6114 8.3009 O
3.6210 1.6114 5.2106 O
3.6801 4.8343 8.2518 O
4.1016 3.6518 1.4273 O
4.1016 6.0167 1.4273 O
4.6479 1.6114 3.1972 O
```

Peak list (12 most intense, 10° ≤ 2θ ≤ 90°, in order of falling intensity)
d (Å), Rel. int.
3.223, 100.0
3.451, 71.2
4.535, 49.7
5.236, 43.7
2.563, 32.5
4.372, 32.2
3.618, 28.5
2.245, 26.5
3.308, 23.9
2.630, 19.1
2.493, 18.3
4.012, 17.8

Li3CrSiCO7: simulated powder XRD pattern (Cu Kα X-rays), based on a cell relaxed with PBE+U.
Lines closer than 0.1° are merged.

Cell and atoms:
```
Li3CrSiCO7
1.0
5.0517 0.0000 0.0000
0.0000 6.4782 0.0000
-0.6883 0.0000 8.2773
Li Cr Si C O
6 2 2 2 14
Cartesian
1.0846 1.6196 0.8988 Li
0.7055 3.4657 5.8502 Li
0.7055 6.2517 5.8502 Li
3.6580 0.2265 2.4271 Li
3.6580 3.0126 2.4271 Li
3.2789 4.8587 7.3786 Li
0.7772 4.8587 2.6549 Cr
3.5862 1.6196 5.6224 Cr
1.1436 1.6196 3.4944 Si
3.2199 4.8587 4.7830 Si
1.4812 4.8587 0.2532 C
2.8823 1.6196 8.0242 C
0.2173 4.8587 0.5863 O
0.4003 1.6196 4.9494 O
0.6995 0.3644 2.5225 O
0.6995 2.8747 2.5225 O
1.1984 4.8587 7.3128 O
1.5826 4.8587 4.5072 O
2.3244 4.8587 1.2482 O
2.0391 1.6196 7.0291 O
2.7808 1.6196 3.7702 O
3.1650 1.6196 0.9646 O
3.6639 3.6035 5.7548 O
3.6639 6.1138 5.7548 O
3.9631 4.8587 3.3279 O
4.1462 1.6196 7.6911 O
```

Peak list (12 most intense, 10° ≤ 2θ ≤ 90°, in order of falling intensity)
d (Å), Rel. int.
3.239, 100.0
8.277, 66.6
4.151, 51.1
4.469, 36.3
5.102, 34.4
3.495, 30.5
3.335, 29.8
2.466, 26.5
1.619, 22.2
3.975, 21.8
2.517, 18.4
1.972, 17.5

Mg14CrCO16: simulated powder XRD pattern (Cu Kα X-rays), based on a cell relaxed with PBE+U.
Lines closer than 0.1° are merged.

Cell and atoms:
```
Mg14CrCO16
1.0
8.4921 0.0000 0.0000
0.0000 8.4921 0.0000
0.0000 0.0000 4.2966
Mg Cr C O
14 1 1 16
Cartesian
0.0000 2.0783 0.0000 Mg
0.0000 4.2461 2.1483 Mg
0.0000 6.4138 0.0000 Mg
2.0783 0.0000 0.0000 Mg
2.0856 2.0856 2.1483 Mg
2.0856 6.4066 2.1483 Mg
2.1082 4.2461 0.0000 Mg
4.2461 0.0000 2.1483 Mg
4.2461 2.1082 0.0000 Mg
4.2461 6.3840 0.0000 Mg
6.3840 4.2461 0.0000 Mg
6.4066 2.0856 2.1483 Mg
6.4066 6.4066 2.1483 Mg
6.4138 0.0000 0.0000 Mg
4.2461 4.2461 2.1483 Cr
0.0000 0.0000 2.1483 C
0.0000 0.0000 0.0000 O
0.0000 2.1671 2.1483 O
0.0000 4.2461 0.0000 O
0.0000 6.3250 2.1483 O
2.1214 2.1214 0.0000 O
2.1214 6.3708 0.0000 O
2.1311 4.2461 2.1483 O
2.1671 0.0000 2.1483 O
4.2461 0.0000 0.0000 O
4.2461 2.1311 2.1483 O
4.2461 4.2461 0.0000 O
4.2461 6.3610 2.1483 O
6.3250 0.0000 2.1483 O
6.3610 4.2461 2.1483 O
6.3708 2.1214 0.0000 O
6.3708 6.3708 0.0000 O
```

Peak list (12 most intense, 10° ≤ 2θ ≤ 90°, in order of falling intensity)
d (Å), Rel. int.
2.123, 100.0
1.510, 56.9
2.148, 52.3
1.501, 27.7
1.231, 25.3
2.461, 17.7
8.492, 10.2
1.282, 7.3
2.846, 5.1
3.798, 4.4
3.834, 4.3
1.293, 3.8

Mg14CrCO16: simulated powder XRD pattern (Cu Kα X-rays), based on a cell relaxed with PBE+U.
Lines closer than 0.1° are merged.

Cell and atoms:
```
Mg14CrCO16
1.0
4.2085 0.0000 0.0000
0.0000 8.4541 0.0000
0.0000 0.0000 8.7374
Mg Cr C O
14 1 1 16
Cartesian
0.0000 0.0000 0.0000 Mg
0.0000 0.0000 4.3687 Mg
0.0000 2.1497 2.1365 Mg
0.0000 2.1497 6.6009 Mg
0.0000 6.3044 2.1365 Mg
0.0000 6.3044 6.6009 Mg
2.1043 0.0000 2.1707 Mg
2.1043 0.0000 6.5667 Mg
2.1043 2.1074 4.3687 Mg
2.1043 2.1481 0.0000 Mg
2.1043 4.2271 2.1210 Mg
2.1043 4.2271 6.6164 Mg
2.1043 6.3060 0.0000 Mg
2.1043 6.3467 4.3687 Mg
0.0000 4.2271 4.3687 Cr
0.0000 4.2271 0.0000 C
0.0000 0.0000 2.2053 O
0.0000 0.0000 6.5321 O
0.0000 2.0687 0.0000 O
0.0000 2.1426 4.3687 O
0.0000 4.2271 2.4014 O
0.0000 4.2271 6.3360 O
0.0000 6.3115 4.3687 O
0.0000 6.3854 0.0000 O
2.1043 0.0000 0.0000 O
2.1043 0.0000 4.3687 O
2.1043 2.1263 2.1803 O
2.1043 2.1263 6.5571 O
2.1043 4.2271 0.0000 O
2.1043 4.2271 4.3687 O
2.1043 6.3279 2.1803 O
2.1043 6.3279 6.5571 O
```

Peak list (12 most intense, 10° ≤ 2θ ≤ 90°, in order of falling intensity)
d (Å), Rel. int.
2.184, 100.0
2.114, 91.2
2.104, 90.2
1.519, 52.7
1.515, 52.5
1.491, 50.1
1.232, 46.2
2.463, 33.4
6.076, 13.1
8.737, 11.9
3.799, 9.8
3.460, 9.1